Computed X-ray powder pattern
Compound: VInF6
Radiation: Cu Kα X-rays
Structure: a PBE+U-relaxed structure

The 10 most intense peaks (2θ from 5° to 70°), most intense first:
| two_theta | Rel. int. |
| --- | --- |
| 21.8 | 100.0 |
| 27.1 | 61.6 |
| 51.8 | 38.5 |
| 39.5 | 26.2 |
| 34.3 | 24.5 |
| 34.6 | 16.2 |
| 62.0 | 14.8 |
| 44.5 | 14.8 |
| 54.9 | 14.4 |
| 57.6 | 13.9 |

Cell and atoms:
Cell: 5.1864 5.1864 9.6345 Å, 90.00 90.00 120.00°
Space group P-31c (No. 163)
Symmetry-distinct sites (fractional):
V1 0.0000 0.0000 0.0000 x2
In1 0.3333 0.6667 0.2500 x2
F1 0.0251 0.3214 0.1204 x12